Record 1
Diffraction record for Sm2Te3. The PXRD pattern is theoretical, not measured: it uses a DFT-relaxed cell (PBE, Alexandria) and a wavelength of 1.5418 Å.
Peak positions follow from Bragg's law for the DFT cell and can differ from measured ones.

Structure:
Cell lengths 12.2326, 4.3817, 11.9384 Å; angles 90.00, 90.00, 90.00 degrees
Sites, in units of the cell vectors:
Sm  0.0172  0.2500  0.1879
Sm  0.1966  0.2500  0.4966
Sm  0.3034  0.7500  0.9966
Sm  0.4828  0.7500  0.6879
Sm  0.5172  0.2500  0.3121
Sm  0.6966  0.2500  0.0034
Sm  0.8034  0.7500  0.5034
Sm  0.9828  0.7500  0.8121
Te  0.0418  0.7500  0.3772
Te  0.1187  0.2500  0.9429
Te  0.2246  0.7500  0.6966
Te  0.2754  0.2500  0.1966
Te  0.3813  0.7500  0.4429
Te  0.4582  0.2500  0.8772
Te  0.5418  0.7500  0.1228
Te  0.6187  0.2500  0.5571
Te  0.7246  0.7500  0.8034
Te  0.7754  0.2500  0.3034
Te  0.8813  0.7500  0.0571
Te  0.9582  0.2500  0.6228

Principal peaks in the range 2θ from 10° to 90°, in order of falling intensity:
2θ 30.86, rel. 100
2θ 33.57, rel. 84
2θ 31.23, rel. 76
2θ 29.20, rel. 75
2θ 30.34, rel. 71
2θ 41.21, rel. 69
2θ 26.26, rel. 46
2θ 61.78, rel. 44
2θ 36.62, rel. 42
2θ 43.95, rel. 41

Record 2
Diffraction record for TbAl2Cl8. The PXRD pattern is theoretical, not measured: it uses a DFT-relaxed cell (PBE, Alexandria) and a wavelength of 1.5418 Å.
Peak positions follow from Bragg's law for the DFT cell and can differ from measured ones.

Structure:
Cell lengths 8.1335, 8.1335, 6.4404 Å; angles 96.56, 96.56, 66.52 degrees
Sites, in units of the cell vectors:
Tb  0.0000  0.0000  0.0000
Al  0.1850  0.1850  0.6431
Al  0.8150  0.8150  0.3569
Cl  0.0848  0.7133  0.2405
Cl  0.1671  0.1671  0.2933
Cl  0.2867  0.9152  0.7595
Cl  0.3380  0.3380  0.7548
Cl  0.6620  0.6620  0.2452
Cl  0.7133  0.0848  0.2405
Cl  0.8329  0.8329  0.7067
Cl  0.9152  0.2867  0.7595

Principal peaks in the range 2θ from 10° to 90°, in order of falling intensity:
2θ 11.90, rel. 100
2θ 26.82, rel. 43
2θ 19.00, rel. 30
2θ 19.90, rel. 21
2θ 27.67, rel. 18
2θ 20.44, rel. 16
2θ 37.92, rel. 14
2θ 45.21, rel. 14
2θ 35.67, rel. 11
2θ 31.69, rel. 10

Record 3
Diffraction record for CsNa11. The PXRD pattern is theoretical, not measured: it uses a DFT-relaxed cell (PBE, Alexandria) and a wavelength of 1.5418 Å.
Peak positions follow from Bragg's law for the DFT cell and can differ from measured ones.

Structure:
Cell lengths 11.4023, 11.4023, 11.4023 Å; angles 100.53, 100.53, 129.38 degrees
Sites, in units of the cell vectors:
Cs  0.3750  0.6250  0.7500
Cs  0.6250  0.3750  0.2500
Na  0.0000  0.0000  0.0000
Na  0.0000  0.0000  0.5000
Na  0.0000  0.5000  0.0000
Na  0.1250  0.8750  0.2500
Na  0.1397  0.5607  0.3326
Na  0.1397  0.8071  0.5790
Na  0.1929  0.2719  0.3326
Na  0.1929  0.8603  0.9210
Na  0.2719  0.1929  0.8326
Na  0.2719  0.4393  0.0790
Na  0.4393  0.2719  0.5790
Na  0.4393  0.8603  0.1674
Na  0.5000  0.0000  0.5000
Na  0.5607  0.1397  0.8326
Na  0.5607  0.7281  0.4210
Na  0.7281  0.5607  0.9210
Na  0.7281  0.8071  0.1674
Na  0.8071  0.1397  0.0790
Na  0.8071  0.7281  0.6674
Na  0.8603  0.1929  0.4210
Na  0.8603  0.4393  0.6674
Na  0.8750  0.1250  0.7500

Principal peaks in the range 2θ from 10° to 90°, in order of falling intensity:
2θ 26.61, rel. 100
2θ 27.36, rel. 62
2θ 23.83, rel. 47
2θ 16.36, rel. 41
2θ 20.15, rel. 37
2θ 47.91, rel. 31
2θ 28.13, rel. 31
2θ 10.92, rel. 25
2θ 40.55, rel. 20
2θ 12.14, rel. 18

Record 4
Diffraction record for LaNd2Dy6. The PXRD pattern is theoretical, not measured: it uses a DFT-relaxed cell (PBE, Alexandria) and a wavelength of 1.5418 Å.
Peak positions follow from Bragg's law for the DFT cell and can differ from measured ones.

Structure:
Cell lengths 9.8321, 9.8321, 3.5594 Å; angles 90.00, 90.00, 120.00 degrees
Sites, in units of the cell vectors:
La  0.0000  0.0000  0.0000
Nd  0.3333  0.6667  0.7636
Nd  0.6667  0.3333  0.2364
Dy  0.0219  0.3528  0.2693
Dy  0.3309  0.9781  0.2693
Dy  0.3528  0.3309  0.7307
Dy  0.6472  0.6691  0.2693
Dy  0.6691  0.0219  0.7307
Dy  0.9781  0.6472  0.7307

Principal peaks in the range 2θ from 10° to 90°, in order of falling intensity:
2θ 31.52, rel. 100
2θ 31.02, rel. 82
2θ 44.81, rel. 27
2θ 55.81, rel. 26
2θ 61.50, rel. 18
2θ 56.13, rel. 17
2θ 32.80, rel. 15
2θ 37.68, rel. 15
2θ 53.51, rel. 12
2θ 65.81, rel. 10

Record 5
Diffraction record for ReO3F. The PXRD pattern is theoretical, not measured: it uses a DFT-relaxed cell (PBE, Alexandria) and a wavelength of 1.5418 Å.
Peak positions follow from Bragg's law for the DFT cell and can differ from measured ones.

Structure:
Cell lengths 6.9516, 6.4668, 11.1496 Å; angles 90.00, 90.25, 90.00 degrees
Sites, in units of the cell vectors:
Re  0.0000  0.0297  0.2500
Re  0.0000  0.9703  0.7500
Re  0.3344  0.2813  0.8545
Re  0.3344  0.7187  0.3545
Re  0.6656  0.2813  0.6455
Re  0.6656  0.7187  0.1455
O  0.1415  0.1931  0.1681
O  0.1415  0.8069  0.6681
O  0.1674  0.0498  0.8788
O  0.1674  0.9502  0.3788
O  0.1931  0.4857  0.8955
O  0.1931  0.5143  0.3955
O  0.4781  0.2414  0.9773
O  0.4781  0.7586  0.4773
O  0.5000  0.4336  0.7500
O  0.5000  0.5664  0.2500
O  0.5219  0.2414  0.5227
O  0.5219  0.7586  0.0227
O  0.8069  0.4857  0.6045
O  0.8069  0.5143  0.1045
O  0.8326  0.0498  0.6212
O  0.8326  0.9502  0.1212
O  0.8585  0.1931  0.3319
O  0.8585  0.8069  0.8319
F  0.1662  0.2363  0.6911
F  0.1662  0.7637  0.1911
F  0.5000  0.0602  0.7500
F  0.5000  0.9398  0.2500
F  0.8338  0.2363  0.8089
F  0.8338  0.7637  0.3089

Principal peaks in the range 2θ from 10° to 90°, in order of falling intensity:
2θ 20.39, rel. 100
2θ 15.86, rel. 89
2θ 30.51, rel. 30
2θ 41.40, rel. 28
2θ 18.74, rel. 23
2θ 30.24, rel. 21
2θ 24.69, rel. 20
2θ 42.86, rel. 16
2θ 34.60, rel. 16
2θ 59.11, rel. 15

Record 6
Diffraction record for CdSiTeMoHW. The PXRD pattern is theoretical, not measured: it uses a DFT-relaxed cell (PBE, Alexandria) and a wavelength of 1.5418 Å.
Peak positions follow from Bragg's law for the DFT cell and can differ from measured ones.

Structure:
Cell lengths 3.4477, 9.2583, 9.2583 Å; angles 20.44, 90.00, 90.00 degrees
Sites, in units of the cell vectors:
Cd  0.0000  0.0000  0.0000
Si  0.0000  0.3244  0.3244
Te  0.0000  0.6484  0.6484
Mo  0.5000  0.2280  0.2280
H  0.5000  0.4254  0.4254
W  0.5000  0.8711  0.8711

Principal peaks in the range 2θ from 10° to 90°, in order of falling intensity:
2θ 40.75, rel. 100
2θ 27.64, rel. 84
2θ 39.55, rel. 65
2θ 53.13, rel. 38
2θ 30.95, rel. 35
2θ 36.84, rel. 33
2θ 70.71, rel. 23
2θ 69.10, rel. 20
2θ 29.41, rel. 18
2θ 78.47, rel. 14

Record 7
Diffraction record for Ce12Co2Pb5. The PXRD pattern is theoretical, not measured: it uses a DFT-relaxed cell (PBE, Alexandria) and a wavelength of 1.5418 Å.
Peak positions follow from Bragg's law for the DFT cell and can differ from measured ones.

Structure:
Cell lengths 9.5397, 9.5397, 8.3437 Å; angles 102.15, 102.15, 48.07 degrees
Sites, in units of the cell vectors:
Ce  0.0309  0.0309  0.2148
Ce  0.1331  0.6172  0.3636
Ce  0.1459  0.4911  0.8227
Ce  0.3828  0.8669  0.6364
Ce  0.4338  0.4338  0.6036
Ce  0.4911  0.1459  0.8227
Ce  0.5089  0.8541  0.1773
Ce  0.5662  0.5662  0.3964
Ce  0.6172  0.1331  0.3636
Ce  0.8541  0.5089  0.1773
Ce  0.8669  0.3828  0.6364
Ce  0.9691  0.9691  0.7852
Co  0.1622  0.8378  0.5000
Co  0.8378  0.1622  0.5000
Pb  0.1680  0.1680  0.9505
Pb  0.2297  0.2297  0.4467
Pb  0.5000  0.5000  0.0000
Pb  0.7703  0.7703  0.5533
Pb  0.8320  0.8320  0.0495

Principal peaks in the range 2θ from 10° to 90°, in order of falling intensity:
2θ 31.94, rel. 100
2θ 31.02, rel. 70
2θ 32.10, rel. 61
2θ 35.25, rel. 49
2θ 31.23, rel. 31
2θ 26.53, rel. 31
2θ 34.80, rel. 29
2θ 38.22, rel. 27
2θ 24.21, rel. 25
2θ 53.74, rel. 20

Record 8
Diffraction record for PmErMnCd. The PXRD pattern is theoretical, not measured: it uses a DFT-relaxed cell (PBE, Alexandria) and a wavelength of 1.5418 Å.
Peak positions follow from Bragg's law for the DFT cell and can differ from measured ones.

Structure:
Cell lengths 5.2056, 5.2056, 5.2056 Å; angles 60.00, 60.00, 60.00 degrees
Sites, in units of the cell vectors:
Pm  0.0000  0.0000  0.0000
Er  0.5000  0.5000  0.5000
Mn  0.2500  0.2500  0.2500
Cd  0.7500  0.7500  0.7500

Principal peaks in the range 2θ from 10° to 90°, in order of falling intensity:
2θ 34.46, rel. 100
2θ 61.73, rel. 36
2θ 49.53, rel. 18
2θ 82.95, rel. 16
2θ 72.65, rel. 11
2θ 24.18, rel. 10
2θ 55.85, rel. 5
2θ 20.90, rel. 4
2θ 42.54, rel. 3
2θ 77.85, rel. 2